Entry 1:
This entry pairs a crystal structure of GeIBr with its theoretical powder X-ray diffraction pattern. Radiation: CuKα. Structure: a cell relaxed with PBE.
Kinematic intensities with the Lorentz-polarization factor, no thermal factor.

Structure:
a b c (Å): 7.2130 4.1864 7.4959
angles (deg): 90.00 99.13 90.00
Space group P2 (No. 3)
Inequivalent atoms, fractional coordinates:
Ge  0.0000  0.0000  0.0000 [1 per cell]
Ge  0.5000  0.4974  0.0000 [1 per cell]
I  0.2950  0.9962  0.7528 [2 per cell]
Br  0.2016  0.4954  0.2068 [2 per cell]

Most intense lines, 10 to 90 degrees two-theta, by intensity:
3.146 Å, 28.37°, I 100; 7.401 Å, 11.96°, I 54; 2.065 Å, 43.85°, I 46; 2.797 Å, 32.00°, I 37; 2.117 Å, 42.70°, I 34; 3.352 Å, 26.59°, I 28; 3.428 Å, 25.99°, I 25; 2.486 Å, 36.14°, I 23; 2.093 Å, 43.22°, I 18; 3.700 Å, 24.05°, I 16

=====

Entry 2:
This entry pairs a crystal structure of MnPt5Rh with its theoretical powder X-ray diffraction pattern. Radiation: CuKα. Structure: a cell relaxed with PBE.
Kinematic intensities with the Lorentz-polarization factor, no thermal factor.

Structure:
a b c (Å): 5.4879 7.7084 5.4755
angles (deg): 90.00 90.00 90.00
Space group Cmmm (No. 65)
Inequivalent atoms, fractional coordinates:
Mn  0.0000  0.0000  0.0000 [2 per cell]
Pt  0.0000  0.5000  0.0000 [2 per cell]
Pt  0.2500  0.2500  0.2573 [8 per cell]
Rh  0.0000  0.5000  0.5000 [2 per cell]

Most intense lines, 10 to 90 degrees two-theta, by intensity:
2.234 Å, 40.38°, I 100; 1.938 Å, 46.88°, I 33; 1.367 Å, 68.69°, I 21; 1.927 Å, 47.16°, I 16; 3.854 Å, 23.08°, I 14; 4.471 Å, 19.86°, I 14; 1.169 Å, 82.53°, I 13; 1.163 Å, 83.01°, I 13; 1.167 Å, 82.66°, I 13; 2.741 Å, 32.67°, I 12

=====

Entry 3:
This entry pairs a crystal structure of TbPm4Pr2Tm with its theoretical powder X-ray diffraction pattern. Radiation: CuKα. Structure: a cell relaxed with PBE.
Kinematic intensities with the Lorentz-polarization factor, no thermal factor.

Structure:
a b c (Å): 13.8059 13.3946 6.9164
angles (deg): 90.00 119.86 90.00
Space group C2/c (No. 15)
Inequivalent atoms, fractional coordinates:
Tb  0.2500  0.2500  0.0000 [4 per cell]
Pm  0.0039  0.2428  0.5042 [8 per cell]
Pm  0.2449  0.0020  0.9718 [8 per cell]
Pr  0.0000  0.5000  0.0000 [4 per cell]
Pr  0.2500  0.2500  0.5000 [4 per cell]
Tm  0.0000  0.0000  0.0000 [4 per cell]

Most intense lines, 10 to 90 degrees two-theta, by intensity:
2.994 Å, 29.84°, I 100; 2.232 Å, 40.41°, I 88; 3.349 Å, 26.62°, I 45; 1.537 Å, 60.21°, I 17; 1.462 Å, 63.67°, I 15; 1.730 Å, 52.92°, I 13; 1.366 Å, 68.73°, I 12; 1.534 Å, 60.34°, I 9; 1.496 Å, 62.05°, I 8; 1.461 Å, 63.70°, I 7